# 1
For GdHfZnCo2, the GGA-PBE geometry in OQMD gives the theoretical PXRD pattern in this record (Cu Kα, 1.54184 Å).

Most intense lines, 2θ = 10–80°, by intensity:
hkl 1 1 2, 36.23 deg, intensity 100; hkl 1 1 0, 27.67 deg, intensity 37; hkl 1 2 1, 42.13 deg, intensity 32; hkl 0 2 2, 40.94 deg, intensity 26; hkl 2 0 0, 44.92 deg, intensity 25; hkl 0 1 3, 38.65 deg, intensity 22

Crystal structure
```
GdHfZnCo2
1.0
4.036 0.000 0.000
0.000 5.358 0.000
0.000 0.000 7.760
Gd Hf Zn Co
2 2 2 4
direct
0.000 0.000 0.000 Gd
0.500 0.500 0.500 Gd
0.000 0.000 0.417 Hf
0.500 0.500 0.917 Hf
0.000 0.500 0.203 Zn
0.500 0.000 0.703 Zn
0.000 0.284 0.714 Co
0.000 0.716 0.714 Co
0.500 0.216 0.214 Co
0.500 0.784 0.214 Co
```


# 2
For Gd2CoSiI2, the GGA-PBE geometry in OQMD gives the theoretical PXRD pattern in this record (Cu Kα, 1.54184 Å).

Most intense lines, 2θ = 10–80°, by intensity:
hkl 1 0 3, 34.19 deg, intensity 100; hkl 0 1 1, 26.41 deg, intensity 61; hkl 1 1 0, 44.55 deg, intensity 44; hkl 0 1 2, 29.55 deg, intensity 34; hkl 1 1 6, 66.14 deg, intensity 25; hkl 0 2 3, 57.33 deg, intensity 22

Crystal structure
```
Gd2CoSiI2
1.0
4.067 0.000 0.000
-2.034 3.522 0.000
0.000 0.000 11.786
Gd Co Si I
2 1 1 2
direct
0.000 0.000 0.000 Gd
0.000 0.000 0.315 Gd
0.667 0.333 0.159 Co
0.333 0.667 0.155 Si
0.333 0.667 0.497 I
0.667 0.333 0.819 I
```


# 3
For GdTmCo2I2, the GGA-PBE geometry in OQMD gives the theoretical PXRD pattern in this record (Cu Kα, 1.54184 Å).

Most intense lines, 2θ = 10–80°, by intensity:
hkl 0 1 3, 34.13 deg, intensity 100; hkl 0 1 1, 26.94 deg, intensity 55; hkl 1 1 0, 45.71 deg, intensity 44; hkl 1 0 4, 39.46 deg, intensity 35; hkl 0 1 2, 29.82 deg, intensity 23; hkl 1 1 6, 65.68 deg, intensity 22

Crystal structure
```
GdTmCo2I2
1.0
3.970 0.000 0.000
-1.985 3.438 0.000
0.000 0.000 12.221
Gd Tm Co I
1 1 2 2
direct
0.000 0.000 0.000 Gd
0.000 0.000 0.703 Tm
0.333 0.667 0.844 Co
0.667 0.333 0.851 Co
0.333 0.667 0.179 I
0.667 0.333 0.529 I
```


Repeat the second record exactly.
For Gd2CoSiI2, the GGA-PBE geometry in OQMD gives the theoretical PXRD pattern in this record (Cu Kα, 1.54184 Å).

Most intense lines, 2θ = 10–80°, by intensity:
hkl 1 0 3, 34.19 deg, intensity 100; hkl 0 1 1, 26.41 deg, intensity 61; hkl 1 1 0, 44.55 deg, intensity 44; hkl 0 1 2, 29.55 deg, intensity 34; hkl 1 1 6, 66.14 deg, intensity 25; hkl 0 2 3, 57.33 deg, intensity 22

Crystal structure
```
Gd2CoSiI2
1.0
4.067 0.000 0.000
-2.034 3.522 0.000
0.000 0.000 11.786
Gd Co Si I
2 1 1 2
direct
0.000 0.000 0.000 Gd
0.000 0.000 0.315 Gd
0.667 0.333 0.159 Co
0.333 0.667 0.155 Si
0.333 0.667 0.497 I
0.667 0.333 0.819 I
```